# TeMoWS3
Computed X-ray diffraction stick pattern, CuKα. Input: the PBE geometry in the Materials Project.
Peak positions follow from Bragg's law for the DFT cell and can differ from measured ones.

Most intense lines, 10° ≤ 2θ ≤ 80°, sorted by position:
2theta	I (rel.)	h k l
11.89	100	0 0 5
14.28	24	0 0 6
31.54	32	1 0 0
32.36	13	1 0 3
33.79	18	1 0 5
34.76	13	0 1 6
37.11	72	1 0 8
39.95	15	1 0 10
44.98	34	0 1 13
56.13	22	1 1 0

Atomic structure:
```
data_TeMoWS3
_chemical_formula_sum 'Te2 Mo2 W2 S6'
_space_group_name_H-M_alt 'P 1'
_space_group_IT_number 1
_cell_length_a 3.278
_cell_length_b 3.278
_cell_length_c 37.213
_cell_angle_alpha 90.00
_cell_angle_beta 90.00
_cell_angle_gamma 120.00
loop_
_space_group_symop_operation_xyz
'x,y,z'
loop_
_atom_site_label
_atom_site_type_symbol
_atom_site_fract_x
_atom_site_fract_y
_atom_site_fract_z
Te1 Te 0.000 0.000 0.000
Te2 Te 0.000 0.000 0.104
Mo1 Mo 0.000 0.000 0.488
Mo2 Mo 0.000 0.000 0.864
W1 W 0.333 0.667 0.052
W2 W 0.333 0.667 0.676
S1 S 0.000 0.000 0.635
S2 S 0.000 0.000 0.718
S3 S 0.333 0.667 0.447
S4 S 0.333 0.667 0.530
S5 S 0.333 0.667 0.823
S6 S 0.333 0.667 0.905
```

***

# Te4Mo3WS4
Computed X-ray diffraction stick pattern, CuKα. Input: the PBE geometry in the Materials Project.
Peak positions follow from Bragg's law for the DFT cell and can differ from measured ones.

Most intense lines, 10° ≤ 2θ ≤ 80°, sorted by position:
2theta	I (rel.)	h k l
11.55	96	0 0 5
13.87	17	0 0 6
30.71	54	1 0 0
36.09	100	1 0 8
38.84	17	1 0 10
40.36	17	0 1 11
43.69	48	1 0 13
45.47	15	0 1 14
54.58	34	1 1 0
67.18	16	2 0 8

Atomic structure:
```
data_Te4Mo3WS4
_chemical_formula_sum 'Te4 Mo3 W1 S4'
_space_group_name_H-M_alt 'P 1'
_space_group_IT_number 1
_cell_length_a 3.363
_cell_length_b 3.363
_cell_length_c 38.317
_cell_angle_alpha 90.00
_cell_angle_beta 90.00
_cell_angle_gamma 120.00
loop_
_space_group_symop_operation_xyz
'x,y,z'
loop_
_atom_site_label
_atom_site_type_symbol
_atom_site_fract_x
_atom_site_fract_y
_atom_site_fract_z
Te1 Te 0.000 0.000 0.000
Te2 Te 0.000 0.000 0.099
Te3 Te 0.000 0.000 0.376
Te4 Te 0.000 0.000 0.475
Mo1 Mo 0.000 0.000 0.237
Mo2 Mo 0.000 0.000 0.862
Mo3 Mo 0.333 0.667 0.425
W1 W 0.333 0.667 0.050
S1 S 0.333 0.667 0.198
S2 S 0.333 0.667 0.277
S3 S 0.333 0.667 0.822
S4 S 0.333 0.667 0.901
```

***

# Te4Mo2WS2
Computed X-ray diffraction stick pattern, CuKα. Input: the PBE geometry in the Materials Project.
Peak positions follow from Bragg's law for the DFT cell and can differ from measured ones.

Most intense lines, 10° ≤ 2θ ≤ 80°, sorted by position:
2theta	I (rel.)	h k l
11.20	100	0 0 4
14.01	16	0 0 5
30.15	57	1 0 0
34.73	59	1 0 6
36.25	72	1 0 7
41.78	25	1 0 10
43.88	47	1 0 11
53.56	35	1 1 0
58.61	16	1 0 17
75.51	16	1 1 17

Atomic structure:
```
data_Te4Mo2WS2
_chemical_formula_sum 'Te4 Mo2 W1 S2'
_space_group_name_H-M_alt 'P 1'
_space_group_IT_number 1
_cell_length_a 3.423
_cell_length_b 3.423
_cell_length_c 31.605
_cell_angle_alpha 90.00
_cell_angle_beta 90.00
_cell_angle_gamma 120.00
loop_
_space_group_symop_operation_xyz
'x,y,z'
loop_
_atom_site_label
_atom_site_type_symbol
_atom_site_fract_x
_atom_site_fract_y
_atom_site_fract_z
Te1 Te 0.000 0.000 0.172
Te2 Te 0.000 0.000 0.290
Te3 Te 0.000 0.000 0.710
Te4 Te 0.000 0.000 0.828
Mo1 Mo 0.667 0.333 0.231
Mo2 Mo 0.667 0.333 0.769
W1 W 0.000 0.000 0.000
S1 S 0.667 0.333 0.048
S2 S 0.667 0.333 0.952
```

***

# TeMoWS3
Computed X-ray diffraction stick pattern, CuKα. Input: the PBE geometry in the Materials Project.
Peak positions follow from Bragg's law for the DFT cell and can differ from measured ones.

Most intense lines, 10° ≤ 2θ ≤ 80°, sorted by position:
2theta	I (rel.)	h k l
11.85	100	0 0 5
14.23	20	0 0 6
31.55	31	1 0 0
31.92	14	0 1 2
33.81	16	1 0 5
34.76	18	0 1 6
37.09	75	1 0 8
39.91	21	1 0 10
44.91	34	0 1 13
56.18	21	1 1 0

Atomic structure:
```
data_TeMoWS3
_chemical_formula_sum 'Te2 Mo2 W2 S6'
_space_group_name_H-M_alt 'P 1'
_space_group_IT_number 1
_cell_length_a 3.275
_cell_length_b 3.275
_cell_length_c 37.350
_cell_angle_alpha 90.00
_cell_angle_beta 90.00
_cell_angle_gamma 120.00
loop_
_space_group_symop_operation_xyz
'x,y,z'
loop_
_atom_site_label
_atom_site_type_symbol
_atom_site_fract_x
_atom_site_fract_y
_atom_site_fract_z
Te1 Te 0.000 0.000 0.000
Te2 Te 0.000 0.000 0.104
Mo1 Mo 0.000 0.000 0.864
Mo2 Mo 0.333 0.667 0.676
W1 W 0.000 0.000 0.488
W2 W 0.333 0.667 0.052
S1 S 0.000 0.000 0.635
S2 S 0.000 0.000 0.717
S3 S 0.333 0.667 0.447
S4 S 0.333 0.667 0.530
S5 S 0.333 0.667 0.823
S6 S 0.333 0.667 0.905
```